Simulated powder X-ray diffraction pattern
Compound: AcPmNdTm
Radiation: Cu Kα, 1.54184 Å
Structure: a GGA-PBE-relaxed structure
No peak broadening, texture or thermal motion is included.

Crystal structure
```
AcPmNdTm
1.0
3.734 0.000 0.000
-1.867 3.233 0.000
0.000 0.000 11.930
Ac Pm Nd Tm
1 1 1 1
Direct
0.000 0.000 0.000 Ac
0.333 0.667 0.489 Pm
0.667 0.333 0.736 Nd
0.667 0.333 0.253 Tm
```

Top 10 peaks for 2θ = 5–70°, in order of rising 2θ:
- 2θ = 28.6°, rel. 54
- 2θ = 30.0°, rel. 34
- 2θ = 31.5°, rel. 100
- 2θ = 35.8°, rel. 29
- 2θ = 47.3°, rel. 15
- 2θ = 48.8°, rel. 28
- 2θ = 54.1°, rel. 21
- 2θ = 57.5°, rel. 8
- 2θ = 58.3°, rel. 32
- 2θ = 59.2°, rel. 17



Simulated powder X-ray diffraction pattern
Compound: TbEr7Al5
Radiation: Cu Kα, 1.54184 Å
Structure: a GGA-PBE-relaxed structure
No peak broadening, texture or thermal motion is included.

Crystal structure
```
TbEr7Al5
1.0
-3.030 5.091 5.316
3.030 -5.091 5.316
3.030 5.091 -5.316
Tb Er Al
1 7 5
Direct
0.000 0.000 0.000 Tb
0.201 0.507 0.694 Er
0.242 0.742 0.500 Er
0.347 0.347 0.000 Er
0.360 0.022 0.338 Er
0.673 0.673 0.000 Er
0.684 0.022 0.662 Er
0.813 0.507 0.306 Er
0.009 0.016 0.488 Al
0.009 0.521 0.993 Al
0.528 0.016 0.007 Al
0.528 0.521 0.512 Al
0.775 0.275 0.500 Al
```

Top 10 peaks for 2θ = 5–70°, in order of rising 2θ:
- 2θ = 16.7°, rel. 30
- 2θ = 24.2°, rel. 43
- 2θ = 29.2°, rel. 39
- 2θ = 29.5°, rel. 89
- 2θ = 30.2°, rel. 92
- 2θ = 33.7°, rel. 33
- 2θ = 34.2°, rel. 68
- 2θ = 34.7°, rel. 100
- 2θ = 38.5°, rel. 55
- 2θ = 60.9°, rel. 45



Simulated powder X-ray diffraction pattern
Compound: PmLuZnOs
Radiation: Cu Kα, 1.54184 Å
Structure: a GGA-PBE-relaxed structure
No peak broadening, texture or thermal motion is included.

Crystal structure
```
PmLuZnOs
1.0
0.000 3.484 3.484
3.484 0.000 3.484
3.484 3.484 0.000
Pm Lu Zn Os
1 1 1 1
Direct
0.000 0.000 0.000 Pm
0.500 0.500 0.500 Lu
0.250 0.250 0.250 Zn
0.750 0.750 0.750 Os
```

Top 8 peaks for 2θ = 5–70°, in order of rising 2θ:
- 2θ = 22.1°, rel. 10
- 2θ = 25.6°, rel. 1
- 2θ = 36.5°, rel. 100
- 2θ = 43.1°, rel. 5
- 2θ = 52.5°, rel. 18
- 2θ = 57.7°, rel. 2
- 2θ = 59.3°, rel. 1
- 2θ = 65.6°, rel. 36



Simulated powder X-ray diffraction pattern
Compound: Ac2PuAu7
Radiation: Cu Kα, 1.54184 Å
Structure: a GGA-PBE-relaxed structure
No peak broadening, texture or thermal motion is included.

Crystal structure
```
Ac2PuAu7
1.0
0.000 5.318 5.318
5.318 0.000 5.318
5.318 5.318 0.000
Ac Pu Au
2 1 7
Direct
0.250 0.250 0.250 Ac
0.750 0.750 0.750 Ac
0.000 0.000 0.000 Pu
0.255 0.255 0.745 Au
0.255 0.745 0.255 Au
0.255 0.745 0.745 Au
0.500 0.500 0.500 Au
0.745 0.255 0.255 Au
0.745 0.255 0.745 Au
0.745 0.745 0.255 Au
```

Top 10 peaks for 2θ = 5–70°, in order of rising 2θ:
- 2θ = 16.7°, rel. 19
- 2θ = 23.7°, rel. 26
- 2θ = 29.1°, rel. 66
- 2θ = 33.7°, rel. 100
- 2θ = 37.8°, rel. 10
- 2θ = 41.6°, rel. 12
- 2θ = 48.4°, rel. 74
- 2θ = 57.5°, rel. 30
- 2θ = 60.3°, rel. 26
- 2θ = 65.7°, rel. 7



Simulated powder X-ray diffraction pattern
Compound: Tl5As
Radiation: Cu Kα, 1.54184 Å
Structure: a GGA-PBE-relaxed structure
No peak broadening, texture or thermal motion is included.

Crystal structure
```
Tl5As
1.0
-3.688 3.688 6.935
3.688 -3.688 6.935
3.688 3.688 -6.935
Tl As
10 2
Direct
0.000 0.000 0.000 Tl
0.014 0.514 0.814 Tl
0.200 0.014 0.500 Tl
0.300 0.800 0.814 Tl
0.486 0.300 0.500 Tl
0.500 0.500 0.000 Tl
0.514 0.700 0.500 Tl
0.700 0.200 0.186 Tl
0.800 0.986 0.500 Tl
0.986 0.486 0.186 Tl
0.250 0.250 0.000 As
0.750 0.750 0.000 As
```

Top 10 peaks for 2θ = 5–70°, in order of rising 2θ:
- 2θ = 21.3°, rel. 15
- 2θ = 25.7°, rel. 15
- 2θ = 27.8°, rel. 76
- 2θ = 31.0°, rel. 49
- 2θ = 33.4°, rel. 100
- 2θ = 35.5°, rel. 43
- 2θ = 38.6°, rel. 56
- 2θ = 54.0°, rel. 32
- 2θ = 56.5°, rel. 22
- 2θ = 59.5°, rel. 30



Simulated powder X-ray diffraction pattern
Compound: U2Si3Ni5
Radiation: Cu Kα, 1.54184 Å
Structure: a GGA-PBE-relaxed structure
No peak broadening, texture or thermal motion is included.

Crystal structure
```
U2Si3Ni5
1.0
2.015 -11.234 0.000
2.015 11.234 0.000
0.000 0.000 6.358
U Si Ni
4 6 10
Direct
0.007 0.993 0.500 U
0.331 0.669 0.544 U
0.669 0.331 0.044 U
0.993 0.007 0.000 U
0.120 0.880 0.720 Si
0.271 0.729 0.100 Si
0.446 0.554 0.720 Si
0.554 0.446 0.220 Si
0.729 0.271 0.600 Si
0.880 0.120 0.220 Si
0.104 0.896 0.269 Ni
0.206 0.794 0.399 Ni
0.223 0.777 0.793 Ni
0.374 0.626 0.011 Ni
0.445 0.555 0.320 Ni
0.555 0.445 0.820 Ni
0.626 0.374 0.511 Ni
0.777 0.223 0.293 Ni
0.794 0.206 0.899 Ni
0.896 0.104 0.769 Ni
```

Top 10 peaks for 2θ = 5–70°, in order of rising 2θ:
- 2θ = 21.1°, rel. 16
- 2θ = 23.8°, rel. 20
- 2θ = 25.1°, rel. 45
- 2θ = 26.5°, rel. 24
- 2θ = 37.1°, rel. 43
- 2θ = 38.0°, rel. 100
- 2θ = 38.6°, rel. 36
- 2θ = 42.6°, rel. 60
- 2θ = 45.0°, rel. 33
- 2θ = 59.7°, rel. 22



Simulated powder X-ray diffraction pattern
Compound: Pr2Nd5Er
Radiation: Cu Kα, 1.54184 Å
Structure: a GGA-PBE-relaxed structure
No peak broadening, texture or thermal motion is included.

Crystal structure
```
Pr2Nd5Er
1.0
7.329 0.000 0.000
0.000 14.695 0.000
0.000 0.000 5.176
Pr Nd Er
4 10 2
Direct
0.248 0.124 0.000 Pr
0.252 0.624 0.000 Pr
0.748 0.376 0.000 Pr
0.752 0.876 0.000 Pr
0.000 0.500 0.500 Nd
0.002 0.751 0.500 Nd
0.249 0.376 0.000 Nd
0.251 0.876 0.000 Nd
0.498 0.251 0.500 Nd
0.500 0.000 0.500 Nd
0.502 0.749 0.500 Nd
0.749 0.124 0.000 Nd
0.751 0.624 0.000 Nd
0.998 0.249 0.500 Nd
0.000 0.000 0.500 Er
0.500 0.500 0.500 Er
```

Top 8 peaks for 2θ = 5–70°, in order of rising 2θ:
- 2θ = 29.9°, rel. 100
- 2θ = 34.6°, rel. 51
- 2θ = 49.6°, rel. 6
- 2θ = 49.8°, rel. 30
- 2θ = 59.1°, rel. 29
- 2θ = 59.2°, rel. 14
- 2θ = 62.0°, rel. 6
- 2θ = 62.1°, rel. 6



Simulated powder X-ray diffraction pattern
Compound: AlAg3S3
Radiation: Cu Kα, 1.54184 Å
Structure: a GGA-PBE-relaxed structure
No peak broadening, texture or thermal motion is included.

Crystal structure
```
AlAg3S3
1.0
6.525 0.000 0.000
0.000 6.726 0.000
-0.449 0.000 13.322
Al Ag S
4 12 12
Direct
0.143 0.093 0.080 Al
0.143 0.407 0.580 Al
0.857 0.593 0.420 Al
0.857 0.907 0.920 Al
0.037 0.612 0.192 Ag
0.037 0.888 0.692 Ag
0.317 0.559 0.919 Ag
0.317 0.941 0.419 Ag
0.347 0.175 0.797 Ag
0.347 0.325 0.297 Ag
0.653 0.675 0.703 Ag
0.653 0.825 0.203 Ag
0.683 0.059 0.581 Ag
0.683 0.441 0.081 Ag
0.963 0.112 0.308 Ag
0.963 0.388 0.808 Ag
0.209 0.561 0.431 S
0.209 0.939 0.931 S
0.262 0.573 0.719 S
0.262 0.927 0.219 S
0.270 0.099 0.588 S
0.270 0.401 0.088 S
0.730 0.599 0.912 S
0.730 0.901 0.412 S
0.738 0.073 0.781 S
0.738 0.427 0.281 S
0.791 0.061 0.069 S
0.791 0.439 0.569 S
```

Top 10 peaks for 2θ = 5–70°, in order of rising 2θ:
- 2θ = 13.3°, rel. 49
- 2θ = 14.8°, rel. 46
- 2θ = 18.7°, rel. 40
- 2θ = 27.3°, rel. 72
- 2θ = 29.9°, rel. 100
- 2θ = 30.5°, rel. 36
- 2θ = 30.8°, rel. 79
- 2θ = 30.9°, rel. 45
- 2θ = 33.0°, rel. 43
- 2θ = 39.3°, rel. 50



Simulated powder X-ray diffraction pattern
Compound: NpCdSnBi
Radiation: Cu Kα, 1.54184 Å
Structure: a GGA-PBE-relaxed structure
No peak broadening, texture or thermal motion is included.

Crystal structure
```
NpCdSnBi
1.0
4.386 0.000 0.000
0.000 4.822 0.000
0.000 0.000 4.933
Np Cd Sn Bi
1 1 1 1
Direct
0.000 0.000 0.000 Np
0.000 0.500 0.500 Cd
0.500 0.000 0.500 Sn
0.500 0.500 0.000 Bi
```

Top 10 peaks for 2θ = 5–70°, in order of rising 2θ:
- 2θ = 33.0°, rel. 100
- 2θ = 36.4°, rel. 19
- 2θ = 37.3°, rel. 18
- 2θ = 41.2°, rel. 14
- 2θ = 53.1°, rel. 13
- 2θ = 56.1°, rel. 11
- 2θ = 63.4°, rel. 16
- 2θ = 64.6°, rel. 15
- 2θ = 69.3°, rel. 12
- 2θ = 69.9°, rel. 12



Simulated powder X-ray diffraction pattern
Compound: I3BrCl12
Radiation: Cu Kα, 1.54184 Å
Structure: a GGA-PBE-relaxed structure
No peak broadening, texture or thermal motion is included.

Crystal structure
```
I3BrCl12
1.0
7.136 4.120 8.701
-7.136 4.120 8.701
0.000 -8.240 8.701
I Br Cl
6 2 24
Direct
0.016 0.321 0.664 I
0.164 0.821 0.516 I
0.321 0.664 0.016 I
0.516 0.164 0.821 I
0.664 0.016 0.321 I
0.821 0.516 0.164 I
0.136 0.136 0.136 Br
0.636 0.636 0.636 Br
0.107 0.426 0.462 Cl
0.129 0.953 0.302 Cl
0.153 0.653 0.181 Cl
0.153 0.653 0.681 Cl
0.181 0.153 0.653 Cl
0.213 0.859 0.915 Cl
0.302 0.129 0.953 Cl
0.359 0.713 0.415 Cl
0.415 0.359 0.713 Cl
0.426 0.462 0.107 Cl
0.453 0.629 0.802 Cl
0.462 0.107 0.426 Cl
0.607 0.962 0.926 Cl
0.629 0.802 0.453 Cl
0.653 0.181 0.153 Cl
0.653 0.681 0.153 Cl
0.681 0.153 0.653 Cl
0.713 0.415 0.359 Cl
0.802 0.453 0.629 Cl
0.859 0.915 0.213 Cl
0.915 0.213 0.859 Cl
0.926 0.607 0.962 Cl
0.953 0.302 0.129 Cl
0.962 0.926 0.607 Cl
```

Top 10 peaks for 2θ = 5–70°, in order of rising 2θ:
- 2θ = 12.4°, rel. 11
- 2θ = 16.1°, rel. 100
- 2θ = 20.4°, rel. 44
- 2θ = 21.6°, rel. 13
- 2θ = 24.0°, rel. 12
- 2θ = 33.3°, rel. 12
- 2θ = 34.8°, rel. 24
- 2θ = 37.8°, rel. 12
- 2θ = 43.4°, rel. 15
- 2θ = 47.1°, rel. 12



Simulated powder X-ray diffraction pattern
Compound: Tm2AgTeSe3
Radiation: Cu Kα, 1.54184 Å
Structure: a GGA-PBE-relaxed structure
No peak broadening, texture or thermal motion is included.

Crystal structure
```
Tm2AgTeSe3
1.0
4.172 2.409 6.791
-4.172 2.409 6.791
0.000 -4.818 6.791
Tm Ag Te Se
4 2 2 6
Direct
0.000 0.000 0.000 Tm
0.000 0.000 0.500 Tm
0.000 0.500 0.000 Tm
0.500 0.000 0.000 Tm
0.394 0.394 0.394 Ag
0.606 0.606 0.606 Ag
0.257 0.257 0.257 Te
0.743 0.743 0.743 Te
0.219 0.759 0.759 Se
0.241 0.241 0.781 Se
0.241 0.781 0.241 Se
0.759 0.219 0.759 Se
0.759 0.759 0.219 Se
0.781 0.241 0.241 Se
```

Top 10 peaks for 2θ = 5–70°, in order of rising 2θ:
- 2θ = 13.0°, rel. 24
- 2θ = 21.3°, rel. 16
- 2θ = 25.1°, rel. 82
- 2θ = 30.3°, rel. 78
- 2θ = 39.7°, rel. 36
- 2θ = 43.4°, rel. 100
- 2θ = 45.5°, rel. 15
- 2θ = 53.8°, rel. 15
- 2θ = 60.3°, rel. 14
- 2θ = 63.1°, rel. 15



Simulated powder X-ray diffraction pattern
Compound: Sm5Tm2Th2
Radiation: Cu Kα, 1.54184 Å
Structure: a GGA-PBE-relaxed structure
No peak broadening, texture or thermal motion is included.

Crystal structure
```
Sm5Tm2Th2
1.0
5.013 0.000 0.000
-2.501 7.675 0.000
-0.007 -2.550 7.662
Sm Tm Th
5 2 2
Direct
0.000 0.000 0.000 Sm
0.227 0.446 0.334 Sm
0.331 0.667 0.003 Sm
0.669 0.333 0.997 Sm
0.773 0.554 0.666 Sm
0.447 0.892 0.659 Tm
0.553 0.108 0.341 Tm
0.106 0.213 0.661 Th
0.894 0.787 0.339 Th
```

Top 10 peaks for 2θ = 5–70°, in order of rising 2θ:
- 2θ = 30.5°, rel. 100
- 2θ = 35.1°, rel. 34
- 2θ = 35.8°, rel. 16
- 2θ = 50.5°, rel. 6
- 2θ = 50.5°, rel. 6
- 2θ = 51.0°, rel. 24
- 2θ = 60.1°, rel. 22
- 2θ = 60.2°, rel. 7
- 2θ = 61.1°, rel. 14
- 2θ = 63.4°, rel. 9